Simulated XRD peak list of ZrAlPd6 for Cu Kα X-rays, from a crystal structure in Alexandria, relaxed with PBE.
Kinematic intensities with the Lorentz-polarization factor, no thermal factor.

Structural model:
a b c (Å): 4.9461 5.1536 5.2119
angles (deg): 92.54 97.23 92.50
Space group P-1 (No. 2)
Asymmetric unit:
Zr: 0.0000 0.0000 0.0000 x1
Al: 0.5000 0.5000 0.5000 x1
Pd: 0.0189 0.4800 0.7493 x2
Pd: 0.2573 0.9293 0.5516 x2
Pd: 0.4714 0.7451 0.0591 x2

Top 10 peaks for 10° ≤ 2θ ≤ 90°, sorted by position:
h k l  2θ/deg  I_rel
1 -1 0  24.46  35
2 0 0  36.68  24
2 0 -1  38.60  31
0 1 2  39.85  76
0 2 1  39.95  39
1 2 0  40.42  77
1 1 -2  40.92  85
1 0 2  41.59  75
-2 1 1  42.15  48
1 -2 1  42.87  100